Entry 1:
Pm3DyHo6: simulated XRD peak list (Cu Kα, 1.54184 Å), based on a cell relaxed with PBE.
Lines closer than 0.1° are merged.

Structure:
```
data_Pm3DyHo6
_chemical_formula_sum 'Pm3 Dy1 Ho6'
_symmetry_space_group_name_H-M 'P -1'
_symmetry_Int_Tables_number 2
_cell_length_a 6.1673
_cell_length_b 6.1694
_cell_length_c 9.4178
_cell_angle_alpha 102.60
_cell_angle_beta 109.01
_cell_angle_gamma 99.66
loop_
_symmetry_equiv_pos_as_xyz
'x,y,z'
'-x,-y,-z'
loop_
_atom_site_label
_atom_site_type_symbol
_atom_site_fract_x
_atom_site_fract_y
_atom_site_fract_z
Pm1 Pm 0.0000 0.0000 0.0000
Pm2 Pm 0.3986 0.9995 0.7977
Dy1 Dy 0.0000 0.5000 0.5000
Ho1 Ho 0.1996 0.4989 0.8991
Ho2 Ho 0.2011 0.0004 0.4015
Ho3 Ho 0.3994 0.5007 0.3012
```

Principal peaks in the range 2θ from 15° to 90°, low angle first:
Position (°2θ)  d (Å)  I_rel  index
30.75  2.908  100  1 0 2
35.65  2.518  51  2 1 -1
51.32  1.780  30  1 2 2
61.01  1.519  36  3 1 1
64.03  1.454  9  2 0 4
83.67  1.156  10  2 2 4
83.76  1.155  7  4 1 -7
86.38  1.126  11  5 0 0

***

Entry 2:
Pm2Dy5Ho: simulated XRD peak list (Cu Kα, 1.54184 Å), based on a cell relaxed with PBE.
Lines closer than 0.1° are merged.

Structure:
```
data_Pm2Dy5Ho
_chemical_formula_sum 'Pm4 Dy10 Ho2'
_symmetry_space_group_name_H-M 'P -1'
_symmetry_Int_Tables_number 2
_cell_length_a 6.1768
_cell_length_b 9.4266
_cell_length_c 9.4308
_cell_angle_alpha 81.77
_cell_angle_beta 83.76
_cell_angle_gamma 71.06
loop_
_symmetry_equiv_pos_as_xyz
'x,y,z'
'-x,-y,-z'
loop_
_atom_site_label
_atom_site_type_symbol
_atom_site_fract_x
_atom_site_fract_y
_atom_site_fract_z
Pm1 Pm 0.2492 0.1559 0.0314
Pm2 Pm 0.2487 0.4070 0.2827
Dy1 Dy 0.2492 0.6572 0.5312
Dy2 Dy 0.2496 0.9064 0.7797
Dy3 Dy 0.2507 0.0303 0.4066
Dy4 Dy 0.2507 0.5318 0.9059
Dy5 Dy 0.2517 0.2805 0.6559
Ho1 Ho 0.2501 0.7814 0.1570
```

Principal peaks in the range 2θ from 15° to 90°, low angle first:
Position (°2θ)  d (Å)  I_rel  index
30.71  2.911  100  2 0 0
35.61  2.521  51  2 3 1
51.18  1.785  12  3 1 3
51.27  1.782  24  1 4 4
60.87  1.522  18  3 -2 2
60.98  1.519  25  4 3 1
83.64  1.156  9  2 5 7
86.28  1.127  8  5 4 4

***

Entry 3:
PmDy2Ho7: simulated XRD peak list (Cu Kα, 1.54184 Å), based on a cell relaxed with PBE.
Lines closer than 0.1° are merged.

Structure:
```
data_PmDy2Ho7
_chemical_formula_sum 'Pm1 Dy2 Ho7'
_symmetry_space_group_name_H-M 'P -1'
_symmetry_Int_Tables_number 2
_cell_length_a 6.1291
_cell_length_b 6.1333
_cell_length_c 9.3528
_cell_angle_alpha 102.56
_cell_angle_beta 109.06
_cell_angle_gamma 99.53
loop_
_symmetry_equiv_pos_as_xyz
'x,y,z'
'-x,-y,-z'
loop_
_atom_site_label
_atom_site_type_symbol
_atom_site_fract_x
_atom_site_fract_y
_atom_site_fract_z
Pm1 Pm 0.0000 0.0000 0.0000
Dy1 Dy 0.4001 0.5011 0.3009
Ho1 Ho 0.0000 0.5000 0.5000
Ho2 Ho 0.2001 0.0004 0.4007
Ho3 Ho 0.2012 0.5003 0.8995
Ho4 Ho 0.3989 0.9995 0.7985
```

Principal peaks in the range 2θ from 15° to 90°, low angle first:
Position (°2θ)  d (Å)  I_rel  index
30.94  2.890  100  1 0 2
35.88  2.503  51  2 1 -1
51.62  1.771  18  1 2 2
51.68  1.769  18  3 0 -4
61.40  1.510  25  3 1 1
61.48  1.508  18  3 -3 1
84.35  1.148  9  5 -2 0
87.05  1.119  7  5 0 0

***

Entry 4:
Pm2Dy3Ho8: simulated XRD peak list (Cu Kα, 1.54184 Å), based on a cell relaxed with PBE.
Lines closer than 0.1° are merged.

Structure:
```
data_Pm2Dy3Ho8
_chemical_formula_sum 'Pm4 Dy6 Ho16'
_symmetry_space_group_name_H-M 'P 1 21/c 1'
_symmetry_Int_Tables_number 14
_cell_length_a 3.5312
_cell_length_b 12.0071
_cell_length_c 19.7295
_cell_angle_alpha 90.00
_cell_angle_beta 90.01
_cell_angle_gamma 90.00
loop_
_symmetry_equiv_pos_as_xyz
'x,y,z'
'-x,-y,-z'
'-x,y+1/2,-z+1/2'
'x,-y+1/2,z+1/2'
loop_
_atom_site_label
_atom_site_type_symbol
_atom_site_fract_x
_atom_site_fract_y
_atom_site_fract_z
Pm1 Pm 0.0013 0.1809 0.1168
Dy1 Dy 0.5000 0.0000 0.0000
Dy2 Dy 0.5004 0.1198 0.7183
Ho1 Ho 0.0001 0.0388 0.5779
Ho2 Ho 0.0000 0.1448 0.2941
Ho3 Ho 0.0006 0.1024 0.8662
Ho4 Ho 0.5004 0.2044 0.4590
```

Principal peaks in the range 2θ from 15° to 90°, low angle first:
Position (°2θ)  d (Å)  I_rel  index
29.68  3.010  35  1 2 1
30.11  2.968  26  0 4 1
31.15  2.871  100  1 0 4
31.85  2.810  60  0 3 5
32.05  2.793  58  1 1 -4
32.41  2.762  47  1 2 3
32.63  2.744  58  0 1 7
34.17  2.624  53  1 3 -1